Calculated powder diffraction line list
Compound: La4CePr10
Radiation: a wavelength of 1.5418 Å
Structure: a crystal structure in Alexandria, relaxed with GGA-PBE

Main lines, in order of falling intensity (2θ from 10° to 90°):
- d 3.202, 27.9 deg, rel. 100
- d 3.183, 28.0 deg, rel. 90
- d 3.368, 26.5 deg, rel. 86
- d 2.737, 32.7 deg, rel. 82
- d 2.799, 32.0 deg, rel. 65
- d 2.200, 41.0 deg, rel. 34
- d 1.591, 58.0 deg, rel. 33
- d 2.075, 43.6 deg, rel. 31

Structural model:
```
La4CePr10
1.0
-5.0335 5.0335 5.3601
5.0335 -5.0335 5.3601
5.0335 5.0335 -5.3601
La Ce Pr
4 1 10
direct
0.0476 0.3159 0.3636
0.3159 0.9524 0.2683
0.6841 0.0476 0.7317
0.9524 0.6841 0.6364
0.0000 0.0000 0.0000
0.1385 0.4599 0.9189
0.2196 0.1385 0.6787
0.2500 0.7500 0.5000
0.4591 0.7804 0.9189
0.4599 0.5409 0.3213
0.5401 0.4591 0.6787
0.5409 0.2196 0.0811
0.7500 0.2500 0.5000
0.7804 0.8615 0.3213
0.8615 0.5401 0.0811
```

Calculated powder diffraction line list
Compound: La9CePr2
Radiation: a wavelength of 1.5418 Å
Structure: a crystal structure in Alexandria, relaxed with GGA-PBE

Main lines, in order of falling intensity (2θ from 10° to 90°):
- d 3.018, 29.6 deg, rel. 100
- d 2.614, 34.3 deg, rel. 51
- d 1.576, 58.6 deg, rel. 43
- d 1.848, 49.3 deg, rel. 36
- d 1.199, 80.0 deg, rel. 17
- d 1.509, 61.4 deg, rel. 12
- d 1.169, 82.5 deg, rel. 10
- d 1.168, 82.6 deg, rel. 5

Structural model:
```
La9CePr2
1.0
5.2250 0.0000 0.0000
0.0000 5.2250 0.0000
0.0000 0.0000 15.6949
La Ce Pr
9 1 2
direct
0.0000 0.0000 0.0000
0.0000 0.0000 0.3321
0.0000 0.0000 0.6679
0.0000 0.5000 0.1598
0.0000 0.5000 0.5000
0.0000 0.5000 0.8402
0.5000 0.0000 0.1598
0.5000 0.0000 0.5000
0.5000 0.0000 0.8402
0.5000 0.5000 0.0000
0.5000 0.5000 0.3322
0.5000 0.5000 0.6678
```

Calculated powder diffraction line list
Compound: La2CePr8
Radiation: a wavelength of 1.5418 Å
Structure: a crystal structure in Alexandria, relaxed with GGA-PBE

Main lines, in order of falling intensity (2θ from 10° to 90°):
- d 2.878, 31.1 deg, rel. 100
- d 2.908, 30.7 deg, rel. 37
- d 3.105, 28.8 deg, rel. 28
- d 1.673, 54.9 deg, rel. 23
- d 2.851, 31.4 deg, rel. 18
- d 1.493, 62.2 deg, rel. 12
- d 2.726, 32.9 deg, rel. 11
- d 2.741, 32.7 deg, rel. 11

Structural model:
```
La2CePr8
1.0
-2.9080 4.1709 8.1777
2.9080 -4.1709 8.1777
2.9080 4.1709 -8.1777
La Ce Pr
2 1 8
direct
0.2000 0.2000 0.0000
0.8000 0.8000 0.0000
0.5000 0.5000 0.0000
0.0782 0.3677 0.7105
0.2130 0.0000 0.2130
0.3411 0.8411 0.5000
0.3428 0.6323 0.7105
0.6572 0.3677 0.2895
0.6589 0.1589 0.5000
0.7870 0.0000 0.7870
0.9218 0.6323 0.2895
```

Calculated powder diffraction line list
Compound: La3CePr7
Radiation: a wavelength of 1.5418 Å
Structure: a crystal structure in Alexandria, relaxed with GGA-PBE

Main lines, in order of falling intensity (2θ from 10° to 90°):
- d 2.836, 31.5 deg, rel. 100
- d 3.004, 29.7 deg, rel. 40
- d 1.700, 53.9 deg, rel. 22
- d 2.088, 43.3 deg, rel. 20
- d 3.669, 24.3 deg, rel. 18
- d 2.906, 30.8 deg, rel. 17
- d 2.894, 30.9 deg, rel. 17
- d 2.324, 38.7 deg, rel. 10

Structural model:
```
La3CePr7
1.0
6.5173 -5.8120 0.0000
6.5173 5.8120 0.0000
-2.7608 0.0000 5.3364
La Ce Pr
3 1 7
direct
0.0000 0.0000 0.0000
0.2095 0.7905 0.5000
0.7905 0.2095 0.5000
0.5000 0.5000 0.0000
0.0010 0.5972 0.7991
0.2134 0.2134 0.7129
0.4028 0.9990 0.2009
0.5000 0.5000 0.5000
0.5972 0.0010 0.7991
0.7866 0.7866 0.2871
0.9990 0.4028 0.2009
```

Calculated powder diffraction line list
Compound: LaCe3Pr2Sb6
Radiation: a wavelength of 1.5418 Å
Structure: a crystal structure in Alexandria, relaxed with GGA-PBE

Main lines, in order of falling intensity (2θ from 10° to 90°):
- d 2.766, 32.4 deg, rel. 100
- d 3.489, 25.5 deg, rel. 51
- d 2.248, 40.1 deg, rel. 47
- d 1.745, 52.4 deg, rel. 25
- d 1.479, 62.8 deg, rel. 25
- d 1.378, 68.0 deg, rel. 23
- d 3.894, 22.8 deg, rel. 19
- d 2.173, 41.5 deg, rel. 14

Structural model:
```
LaCe3Pr2Sb6
1.0
7.7885 0.0000 0.0000
-3.8943 6.7451 0.0000
0.0000 0.0000 7.8582
La Ce Pr Sb
1 3 2 6
direct
0.0000 0.0000 0.0000
0.0000 0.0000 0.5000
0.3333 0.6667 0.5000
0.6667 0.3333 0.5000
0.3333 0.6667 0.0000
0.6667 0.3333 0.0000
0.0000 0.3351 0.2553
0.0000 0.6649 0.7447
0.3351 0.0000 0.2553
0.3351 0.3351 0.7447
0.6649 0.0000 0.7447
0.6649 0.6649 0.2553
```

Calculated powder diffraction line list
Compound: La6CePr2Sm
Radiation: a wavelength of 1.5418 Å
Structure: a crystal structure in Alexandria, relaxed with GGA-PBE

Main lines, in order of falling intensity (2θ from 10° to 90°):
- d 2.983, 30.0 deg, rel. 100
- d 2.971, 30.1 deg, rel. 87
- d 3.041, 29.4 deg, rel. 74
- d 2.812, 31.8 deg, rel. 52
- d 2.755, 32.5 deg, rel. 43
- d 2.911, 30.7 deg, rel. 43
- d 1.767, 51.7 deg, rel. 43
- d 2.846, 31.4 deg, rel. 39

Structural model:
```
La6CePr2Sm
1.0
5.8236 -3.5339 0.0000
5.8236 3.5339 0.0000
-2.6963 0.0000 8.7970
La Ce Pr Sm
6 1 2 1
direct
0.0757 0.5462 0.1990
0.1234 0.1234 0.4128
0.4538 0.9243 0.8010
0.5462 0.0757 0.1990
0.8766 0.8766 0.5872
0.9243 0.4538 0.8010
0.0000 0.0000 0.0000
0.4176 0.4176 0.8299
0.5824 0.5824 0.1701
0.5000 0.5000 0.5000
```

Calculated powder diffraction line list
Compound: La2CePr3Sm6
Radiation: a wavelength of 1.5418 Å
Structure: a crystal structure in Alexandria, relaxed with GGA-PBE

Main lines, in order of falling intensity (2θ from 10° to 90°):
- d 2.995, 29.8 deg, rel. 100
- d 2.589, 34.7 deg, rel. 67
- d 2.970, 30.1 deg, rel. 33
- d 1.562, 59.2 deg, rel. 29
- d 1.836, 49.7 deg, rel. 24
- d 1.825, 50.0 deg, rel. 24
- d 1.565, 59.0 deg, rel. 14
- d 1.555, 59.5 deg, rel. 14

Structural model:
```
La2CePr3Sm6
1.0
3.1781 -5.5119 0.0000
3.1781 5.5119 0.0000
-2.1287 0.0000 11.8820
La Ce Pr Sm
2 1 3 6
direct
0.1663 0.8337 0.0000
0.8337 0.1663 0.0000
0.5000 0.5000 0.0000
0.0000 0.0000 0.5000
0.3332 0.6668 0.5000
0.6668 0.3332 0.5000
0.0876 0.4175 0.7516
0.2525 0.2525 0.2485
0.4175 0.0876 0.7516
0.5825 0.9124 0.2484
0.7475 0.7475 0.7515
0.9124 0.5825 0.2484
```

Calculated powder diffraction line list
Compound: La2Tb6CePr3
Radiation: a wavelength of 1.5418 Å
Structure: a crystal structure in Alexandria, relaxed with GGA-PBE

Main lines, in order of falling intensity (2θ from 10° to 90°):
- d 2.969, 30.1 deg, rel. 100
- d 2.562, 35.0 deg, rel. 67
- d 2.928, 30.5 deg, rel. 32
- d 1.802, 50.7 deg, rel. 23
- d 1.546, 59.8 deg, rel. 19
- d 1.821, 50.1 deg, rel. 16
- d 1.552, 59.5 deg, rel. 14
- d 1.535, 60.3 deg, rel. 14

Structural model:
```
La2Tb6CePr3
1.0
3.1535 -5.4657 0.0000
3.1535 5.4657 0.0000
-2.1028 0.0000 11.7111
La Tb Ce Pr
2 6 1 3
direct
0.1664 0.8336 0.0000
0.8336 0.1664 0.0000
0.0871 0.4173 0.7514
0.2525 0.2525 0.2487
0.4173 0.0871 0.7514
0.5827 0.9129 0.2486
0.7475 0.7475 0.7513
0.9129 0.5827 0.2486
0.5000 0.5000 0.0000
0.0000 0.0000 0.5000
0.3329 0.6671 0.5000
0.6671 0.3329 0.5000
```